This entry pairs a crystal structure of In8Ga2Sn3 with its theoretical PXRD pattern. Radiation: Cu Kα (λ = 1.5418 Å). Structure: DFT lattice parameters and positions (PBE).

Principal peaks in the range 10 to 90 degrees two-theta, by intensity:
2theta  I_rel
34.4  100
33.8  94
35.7  57
33.5  51
54.9  46
29.3  42

Crystal structure
abc: 11.8048 11.8048 11.8048
angles: 29.89 29.89 29.89
Atoms (fractional coordinates):
In1 0.2184 0.2184 0.2184
In2 0.2328 0.2328 0.7316
In3 0.2328 0.7316 0.2328
In4 0.2684 0.7672 0.7672
In5 0.7316 0.2328 0.2328
In6 0.7672 0.2683 0.7672
In7 0.7672 0.7672 0.2684
In8 0.7816 0.7816 0.7816
Ga1 0.1378 0.1378 0.1378
Ga2 0.8622 0.8622 0.8622
Sn1 0.3145 0.3145 0.3145
Sn2 0.5000 0.5000 0.5000
Sn3 0.6855 0.6855 0.6855